Structure and computed powder diffractogram of LiGa2PdAu4 (a structure optimized by DFT (PBE); Cu Kα).
No peak broadening, texture or thermal motion is included.

Top 6 peaks for 15 to 90 degrees two-theta, low angle first:
- 2θ = 17.5°, intensity 70
- 2θ = 26.4°, intensity 52
- 2θ = 34.0°, intensity 53
- 2θ = 37.4°, intensity 100
- 2θ = 42.6°, intensity 58
- 2θ = 47.1°, intensity 54

Atomic structure:
```
data_LiGa2PdAu4
_cell_length_a 3.862
_cell_length_b 3.862
_cell_length_c 10.110
_cell_angle_alpha 90.00
_cell_angle_beta 90.00
_cell_angle_gamma 90.00
_symmetry_space_group_name_H-M 'P 4/m m m'
_symmetry_Int_Tables_number 123
_symmetry_space_group_name_Hall '-P 4 2'
loop_
_atom_site_label
_atom_site_type_symbol
_atom_site_fract_x
_atom_site_fract_y
_atom_site_fract_z
_atom_site_occupancy
Li1 Li 0.000 0.000 0.000 1
Ga1 Ga 0.500 0.500 0.379 1
Pd1 Pd 0.000 0.000 0.500 1
Au1 Au 0.000 0.500 0.196 1
```



Structure and computed powder diffractogram of La8NdDy3 (a structure optimized by DFT (PBE); Cu Kα).
No peak broadening, texture or thermal motion is included.

Top 6 peaks for 15 to 90 degrees two-theta, low angle first:
- 2θ = 24.9°, intensity 33
- 2θ = 29.6°, intensity 100
- 2θ = 30.3°, intensity 76
- 2θ = 30.5°, intensity 50
- 2θ = 35.1°, intensity 29
- 2θ = 36.7°, intensity 26

Atomic structure:
```
data_La8NdDy3
_cell_length_a 6.348
_cell_length_b 9.034
_cell_length_c 14.854
_cell_angle_alpha 90.00
_cell_angle_beta 90.00
_cell_angle_gamma 90.00
_symmetry_space_group_name_H-M 'I 2 2 2'
_symmetry_Int_Tables_number 23
_symmetry_space_group_name_Hall 'I 2 2'
loop_
_atom_site_label
_atom_site_type_symbol
_atom_site_fract_x
_atom_site_fract_y
_atom_site_fract_z
_atom_site_occupancy
La1 La 0.130 0.175 0.404 1
La2 La 0.154 0.353 0.218 1
Nd1 Nd 0.000 0.500 0.000 1
Dy1 Dy 0.000 0.000 0.115 1
Dy2 Dy 0.000 0.500 0.500 1
```



Structure and computed powder diffractogram of TbPm2Er7 (a structure optimized by DFT (PBE); Cu Kα).
No peak broadening, texture or thermal motion is included.

Top 6 peaks for 15 to 90 degrees two-theta, low angle first:
- 2θ = 31.0°, intensity 100
- 2θ = 35.9°, intensity 51
- 2θ = 51.7°, intensity 36
- 2θ = 61.5°, intensity 43
- 2θ = 84.4°, intensity 15
- 2θ = 87.1°, intensity 13

Atomic structure:
```
data_TbPm2Er7
_cell_length_a 6.126
_cell_length_b 6.127
_cell_length_c 9.353
_cell_angle_alpha 70.95
_cell_angle_beta 70.93
_cell_angle_gamma 80.47
_symmetry_space_group_name_H-M 'P -1'
_symmetry_Int_Tables_number 2
_symmetry_space_group_name_Hall '-P 1'
loop_
_atom_site_label
_atom_site_type_symbol
_atom_site_fract_x
_atom_site_fract_y
_atom_site_fract_z
_atom_site_occupancy
Tb1 Tb 0.000 0.000 0.000 1
Pm1 Pm 0.400 0.000 0.202 1
Er1 Er 0.099 0.500 0.301 1
Er2 Er 0.200 0.000 0.599 1
Er3 Er 0.300 0.501 0.899 1
Er4 Er 0.500 0.500 0.500 1
```



Structure and computed powder diffractogram of LaHo2Ga2 (a structure optimized by DFT (PBE); Cu Kα).
No peak broadening, texture or thermal motion is included.

Top 6 peaks for 15 to 90 degrees two-theta, low angle first:
- 2θ = 27.6°, intensity 53
- 2θ = 29.6°, intensity 100
- 2θ = 30.8°, intensity 77
- 2θ = 31.1°, intensity 32
- 2θ = 40.7°, intensity 41
- 2θ = 41.2°, intensity 31

Atomic structure:
```
data_LaHo2Ga2
_cell_length_a 5.410
_cell_length_b 4.430
_cell_length_c 11.586
_cell_angle_alpha 90.00
_cell_angle_beta 94.74
_cell_angle_gamma 90.00
_symmetry_space_group_name_H-M 'P 1 21/m 1'
_symmetry_Int_Tables_number 11
_symmetry_space_group_name_Hall '-P 2yb'
loop_
_atom_site_label
_atom_site_type_symbol
_atom_site_fract_x
_atom_site_fract_y
_atom_site_fract_z
_atom_site_occupancy
La1 La 0.176 0.250 0.242 1
Ho1 Ho 0.244 0.750 0.480 1
Ho2 Ho 0.352 0.250 0.889 1
Ga1 Ga 0.139 0.750 0.025 1
Ga2 Ga 0.277 0.250 0.642 1
```



Structure and computed powder diffractogram of Tl3In2Pb6 (a structure optimized by DFT (PBE); Cu Kα).
No peak broadening, texture or thermal motion is included.

Top 6 peaks for 15 to 90 degrees two-theta, low angle first:
- 2θ = 27.0°, intensity 20
- 2θ = 29.2°, intensity 42
- 2θ = 33.3°, intensity 100
- 2θ = 53.2°, intensity 18
- 2θ = 55.7°, intensity 15
- 2θ = 66.5°, intensity 18

Atomic structure:
```
data_Tl3In2Pb6
_cell_length_a 11.428
_cell_length_b 11.428
_cell_length_c 11.428
_cell_angle_alpha 90.00
_cell_angle_beta 90.00
_cell_angle_gamma 90.00
_symmetry_space_group_name_H-M 'I m -3 m'
_symmetry_Int_Tables_number 229
_symmetry_space_group_name_Hall '-I 4 2 3'
loop_
_atom_site_label
_atom_site_type_symbol
_atom_site_fract_x
_atom_site_fract_y
_atom_site_fract_z
_atom_site_occupancy
Tl1 Tl 0.000 0.000 0.252 1
In1 In 0.250 0.250 0.250 1
Pb1 Pb 0.000 0.350 0.350 1
```



Structure and computed powder diffractogram of NaTl2ZnCl4 (a structure optimized by DFT (PBE); Cu Kα).
No peak broadening, texture or thermal motion is included.

Top 6 peaks for 15 to 90 degrees two-theta, low angle first:
- 2θ = 18.3°, intensity 69
- 2θ = 22.5°, intensity 38
- 2θ = 27.7°, intensity 100
- 2θ = 31.3°, intensity 38
- 2θ = 34.0°, intensity 38
- 2θ = 41.2°, intensity 39

Atomic structure:
```
data_NaTl2ZnCl4
_cell_length_a 6.467
_cell_length_b 12.148
_cell_length_c 27.297
_cell_angle_alpha 90.00
_cell_angle_beta 90.00
_cell_angle_gamma 90.00
_symmetry_space_group_name_H-M 'F d d d'
_symmetry_Int_Tables_number 70
loop_
_symmetry_equiv_pos_as_xyz
'x,y,z'
'-x,-y,-z'
'-x+1/4,-y+1/4,z'
'x+1/4,y+1/4,-z'
'x,-y+1/4,-z+1/4'
'-x,y+1/4,z+1/4'
'-x+1/4,y,-z+1/4'
'x+1/4,-y,z+1/4'
'x,y+1/2,z+1/2'
'-x,-y+1/2,-z+1/2'
'-x+1/4,-y+3/4,z+1/2'
'x+1/4,y+3/4,-z+1/2'
'x,-y+3/4,-z+3/4'
'-x,y+3/4,z+3/4'
'-x+1/4,y+1/2,-z+3/4'
'x+1/4,-y+1/2,z+3/4'
'x+1/2,y,z+1/2'
'-x+1/2,-y,-z+1/2'
'-x+3/4,-y+1/4,z+1/2'
'x+3/4,y+1/4,-z+1/2'
'x+1/2,-y+1/4,-z+3/4'
'-x+1/2,y+1/4,z+3/4'
'-x+3/4,y,-z+3/4'
'x+3/4,-y,z+3/4'
'x+1/2,y+1/2,z'
'-x+1/2,-y+1/2,-z'
'-x+3/4,-y+3/4,z'
'x+3/4,y+3/4,-z'
'x+1/2,-y+3/4,-z+1/4'
'-x+1/2,y+3/4,z+1/4'
'-x+3/4,y+1/2,-z+1/4'
'x+3/4,-y+1/2,z+1/4'
loop_
_atom_site_label
_atom_site_type_symbol
_atom_site_fract_x
_atom_site_fract_y
_atom_site_fract_z
_atom_site_occupancy
Na1 Na 0.125 0.125 0.125 1
Tl1 Tl 0.125 0.125 0.261 1
Zn1 Zn 0.125 0.125 0.625 1
Cl1 Cl 0.083 0.273 0.824 1
```